Computed powder diffractogram of Hg4PBr3 for copper Kα, from the PBE geometry in Alexandria.
Peak positions follow from Bragg's law for the DFT cell and can differ from measured ones.

Top 10 peaks for 10 to 80 degrees two-theta, by angle:
2θ 13.95, I = 70, hkl 1 0 1; 2θ 16.58, I = 34, hkl 0 1 1; 2θ 19.62, I = 41, hkl 2 1 0; 2θ 22.83, I = 100, hkl 2 1 1; 2θ 26.20, I = 52, hkl 0 1 2; 2θ 26.54, I = 54, hkl 0 2 1; 2θ 30.93, I = 34, hkl 2 2 1; 2θ 34.46, I = 26, hkl 1 2 2; 2θ 35.44, I = 56, hkl 3 1 2; 2θ 35.76, I = 80, hkl 4 1 1

Cell and atoms:
```
Hg4PBr3
1.0
11.369 0.000 0.000
0.000 7.475 0.000
0.000 0.000 7.652
Hg P Br
8 2 6
Direct
0.000 0.114 0.000
0.000 0.861 0.576
0.156 0.712 0.959
0.344 0.288 0.459
0.500 0.139 0.076
0.500 0.886 0.500
0.656 0.288 0.459
0.844 0.712 0.959
0.000 0.827 0.146
0.500 0.173 0.646
0.000 0.375 0.789
0.170 0.365 0.270
0.330 0.635 0.770
0.500 0.625 0.289
0.670 0.635 0.770
0.830 0.365 0.270
```